Theoretical powder diffractogram of PdS6N2 for Cu Kα, from a PBE-relaxed structure.
Neutral-atom scattering factors, no anomalous dispersion.

Most intense lines, 10° ≤ 2θ ≤ 90°, most intense first:
- hkl 1 0 -2, 21.25°, I 100.0
- hkl 2 0 0, 13.58°, I 77.5
- hkl 1 1 -1, 15.01°, I 72.2
- hkl 0 0 2, 20.91°, I 68.8
- hkl 1 1 1, 16.05°, I 62.2
- hkl 1 0 2, 22.74°, I 39.0
- hkl 1 3 0, 28.94°, I 38.0
- hkl 1 0 -4, 42.33°, I 26.7

Structural model:
```
PdS6N2
1.0
13.1248 0.0000 0.0000
0.0000 9.5254 0.0000
-0.9668 0.0000 8.4965
Pd S N
4 24 8
direct
0.2454 0.0663 0.1769 Pd
0.2454 0.4337 0.6769 Pd
0.7546 0.5663 0.3231 Pd
0.7546 0.9337 0.8231 Pd
0.0736 0.1349 0.1374 S
0.0736 0.3651 0.6374 S
0.0821 0.1523 0.6419 S
0.0821 0.3477 0.1419 S
0.1941 0.6678 0.6630 S
0.1941 0.8322 0.1630 S
0.2965 0.2040 0.6892 S
0.2965 0.2960 0.1892 S
0.3286 0.7258 0.2005 S
0.3286 0.7742 0.7005 S
0.4141 0.9998 0.2201 S
0.4141 0.5002 0.7201 S
0.5859 0.0002 0.7799 S
0.5859 0.4998 0.2799 S
0.6714 0.2258 0.2995 S
0.6714 0.2742 0.7995 S
0.7035 0.7040 0.8108 S
0.7035 0.7960 0.3108 S
0.8059 0.1678 0.8370 S
0.8059 0.3322 0.3370 S
0.9179 0.6523 0.8581 S
0.9179 0.8477 0.3581 S
0.9264 0.6349 0.3626 S
0.9264 0.8651 0.8626 S
0.1966 0.1032 0.6675 N
0.1966 0.3968 0.1675 N
0.4214 0.6699 0.7234 N
0.4214 0.8301 0.2234 N
0.5786 0.1699 0.7766 N
0.5786 0.3301 0.2766 N
0.8034 0.6032 0.8325 N
0.8034 0.8968 0.3325 N
```